Structure and computed PXRD pattern of Pr6YEr2Tm3 (a structure optimized by DFT (PBE); CuKα).
Neutral-atom scattering factors, no anomalous dispersion.

Principal peaks in the range 2θ = 10–90°, low angle first:
| 2theta | Rel. int. |
| --- | --- |
| 30.25 | 100 |
| 30.77 | 32 |
| 35.22 | 67 |
| 50.32 | 16 |
| 51.00 | 23 |
| 59.85 | 14 |
| 60.15 | 19 |
| 60.75 | 14 |
| 62.91 | 12 |
| 81.91 | 12 |
| 84.62 | 11 |
| 85.67 | 11 |

Atomic structure:
```
12
Lattice="3.1410 -5.4386 0.0000 3.1410 5.4386 0.0000 -2.0907 0.0000 11.6247" Properties=species:S:1:pos:R:3 pbc="T T T"
Pr 1.0440 1.8184 2.8930
Pr -0.0031 0.0000 8.7343
Pr 1.0440 -1.8184 2.8930
Pr 3.1473 1.8184 8.7317
Pr 4.1943 0.0000 2.8904
Pr 3.1473 -1.8184 8.7317
Y 2.0956 0.0000 5.8124
Er 2.0956 3.6268 5.8124
Er 2.0956 -3.6268 5.8124
Tm 0.0000 0.0000 0.0000
Tm 3.1410 1.8139 0.0000
Tm 3.1410 -1.8139 0.0000
```


Structure and computed PXRD pattern of Pr2Y2ErTm (a structure optimized by DFT (PBE); CuKα).
Neutral-atom scattering factors, no anomalous dispersion.

Principal peaks in the range 2θ = 10–90°, low angle first:
| 2theta | Rel. int. |
| --- | --- |
| 25.14 | 8 |
| 31.13 | 93 |
| 31.56 | 100 |
| 40.77 | 12 |
| 44.92 | 33 |
| 51.60 | 9 |
| 55.94 | 33 |
| 56.21 | 18 |
| 61.76 | 29 |
| 74.65 | 10 |
| 79.79 | 13 |
| 88.31 | 10 |

Atomic structure:
```
12
Lattice="7.0850 0.0000 0.0000 0.0000 5.6745 0.0000 0.0000 0.0000 9.8092" Properties=species:S:1:pos:R:3 pbc="T T T"
Pr 1.7713 0.0000 1.4614
Pr 1.7713 2.8372 6.7104
Pr 5.3138 0.0000 8.3478
Pr 5.3138 2.8372 3.0988
Y 0.0000 0.0000 4.9046
Y 1.7713 2.8372 3.3811
Y 3.5425 0.0000 4.9046
Y 5.3138 2.8372 6.4282
Er 1.7713 0.0000 8.0539
Er 5.3138 0.0000 1.7554
Tm 0.0000 2.8372 0.0000
Tm 3.5425 2.8372 0.0000
```


Structure and computed PXRD pattern of PrY2Er3Tm6 (a structure optimized by DFT (PBE); CuKα).
Neutral-atom scattering factors, no anomalous dispersion.

Principal peaks in the range 2θ = 10–90°, low angle first:
| 2theta | Rel. int. |
| --- | --- |
| 15.40 | 1 |
| 29.73 | 1 |
| 31.09 | 100 |
| 36.05 | 51 |
| 51.90 | 36 |
| 61.73 | 28 |
| 61.77 | 14 |
| 64.81 | 12 |
| 76.46 | 6 |
| 84.81 | 18 |
| 87.52 | 8 |
| 87.59 | 8 |

Atomic structure:
```
12
Lattice="3.0540 -5.2832 0.0000 3.0540 5.2832 0.0000 -2.0303 0.0000 11.5041" Properties=species:S:1:pos:R:3 pbc="T T T"
Pr 0.0000 0.0000 0.0000
Y 3.0540 1.7610 0.0000
Y 3.0540 -1.7610 0.0000
Er 2.0388 3.5190 5.7520
Er 2.0388 0.0000 5.7520
Er 2.0388 -3.5190 5.7520
Tm 1.0249 1.7611 2.9146
Tm 0.0002 0.0000 8.5908
Tm 1.0249 -1.7611 2.9146
Tm 3.0528 1.7611 8.5895
Tm 4.0774 0.0000 2.9133
Tm 3.0528 -1.7611 8.5895
```


Structure and computed PXRD pattern of PrErU (a structure optimized by DFT (PBE); CuKα).
Neutral-atom scattering factors, no anomalous dispersion.

Principal peaks in the range 2θ = 10–90°, low angle first:
| 2theta | Rel. int. |
| --- | --- |
| 10.59 | 35 |
| 15.21 | 24 |
| 28.53 | 22 |
| 30.69 | 25 |
| 31.73 | 100 |
| 32.15 | 43 |
| 32.96 | 39 |
| 34.59 | 82 |
| 40.60 | 27 |
| 40.82 | 23 |
| 50.14 | 22 |
| 59.51 | 22 |

Atomic structure:
```
6
Lattice="8.5028 -1.8193 0.0000 8.5028 1.8193 0.0000 -1.1083 0.0000 5.8267" Properties=species:S:1:pos:R:3 pbc="T T T"
Pr 1.6097 0.0000 1.8405
Pr 14.2876 0.0000 3.9862
Er 7.0530 0.0000 1.1752
Er 8.8443 0.0000 4.6515
U 3.1387 0.0000 4.9639
U 12.7586 0.0000 0.8628
```


Structure and computed PXRD pattern of Pr8Y3Er (a structure optimized by DFT (PBE); CuKα).
Neutral-atom scattering factors, no anomalous dispersion.

Principal peaks in the range 2θ = 10–90°, low angle first:
| 2theta | Rel. int. |
| --- | --- |
| 24.10 | 19 |
| 26.98 | 43 |
| 27.83 | 20 |
| 29.48 | 21 |
| 30.70 | 70 |
| 31.00 | 77 |
| 31.26 | 44 |
| 31.54 | 57 |
| 31.72 | 100 |
| 32.44 | 75 |
| 51.87 | 17 |
| 62.59 | 19 |

Atomic structure:
```
12
Lattice="4.4837 -7.6742 0.0000 4.4837 7.6742 0.0000 -2.2263 0.0000 6.1683" Properties=species:S:1:pos:R:3 pbc="T T T"
Pr 1.6989 2.5281 0.2884
Pr -0.0415 0.0000 1.7525
Pr 1.9464 1.4160 4.2796
Pr 3.0277 -1.6210 1.0891
Pr 4.7947 1.4160 1.8887
Pr 5.0422 2.5281 5.8799
Pr 3.7134 -1.6210 5.0793
Pr 6.7826 0.0000 4.4159
Y 4.4837 4.5601 0.0000
Y 0.5445 -2.7831 3.5625
Y 6.1966 -2.7831 2.6058
Er 3.3706 -4.6700 3.0842
```


Structure and computed PXRD pattern of Pr3Y4Er5 (a structure optimized by DFT (PBE); CuKα).
Neutral-atom scattering factors, no anomalous dispersion.

Principal peaks in the range 2θ = 10–90°, low angle first:
| 2theta | Rel. int. |
| --- | --- |
| 30.55 | 34 |
| 30.59 | 100 |
| 35.33 | 45 |
| 35.69 | 22 |
| 50.83 | 16 |
| 51.06 | 16 |
| 51.14 | 16 |
| 60.43 | 19 |
| 60.56 | 19 |
| 60.97 | 18 |
| 63.68 | 12 |
| 83.29 | 8 |

Atomic structure:
```
12
Lattice="6.1799 0.0000 0.0000 -0.0107 7.1815 0.0000 -3.0059 -1.8145 8.7782" Properties=species:S:1:pos:R:3 pbc="T T T"
Pr 0.0000 0.0000 0.0000
Pr 2.0765 3.5803 2.8994
Pr 1.0868 1.7867 5.8788
Y 4.1753 -0.0050 5.8460
Y -1.0120 5.3720 2.9322
Y 2.0881 -0.0029 2.9147
Y 1.0753 5.3700 5.8636
Er -0.0053 3.5907 0.0000
Er -2.0080 3.5747 5.8563
Er 0.0658 3.5710 8.7694
Er 3.0975 1.7960 0.0088
Er 5.1713 1.7923 2.9219
```


Structure and computed PXRD pattern of PrYEr14 (a structure optimized by DFT (PBE); CuKα).
Neutral-atom scattering factors, no anomalous dispersion.

Principal peaks in the range 2θ = 10–90°, low angle first:
| 2theta | Rel. int. |
| --- | --- |
| 29.11 | 10 |
| 30.17 | 39 |
| 31.42 | 33 |
| 33.17 | 100 |
| 37.70 | 21 |
| 49.87 | 10 |
| 51.60 | 25 |
| 57.06 | 21 |
| 61.67 | 29 |
| 62.73 | 16 |
| 85.45 | 14 |
| 88.04 | 15 |

Atomic structure:
```
16
Lattice="11.3879 0.0000 0.0000 0.0000 3.5435 6.1342 0.0000 -3.5435 6.1342" Properties=species:S:1:pos:R:3 pbc="T T T"
Pr 0.0000 0.0000 0.0000
Y 0.0000 0.0000 6.1387
Er 0.0000 -1.7735 3.0714
Er 0.0000 1.7735 3.0714
Er 2.8578 0.0000 8.1909
Er 2.8706 0.0000 2.0576
Er 2.8843 -1.7703 5.1158
Er 2.8843 1.7703 5.1158
Er 5.6940 0.0000 4.0985
Er 5.6940 -1.7712 7.1694
Er 5.6940 1.7712 7.1694
Er 5.6940 0.0000 10.2316
Er 8.5036 -1.7703 5.1158
Er 8.5036 1.7703 5.1158
Er 8.5173 0.0000 2.0576
Er 8.5301 0.0000 8.1909
```


Structure and computed PXRD pattern of Pr5Y4Er (a structure optimized by DFT (PBE); CuKα).
Neutral-atom scattering factors, no anomalous dispersion.

Principal peaks in the range 2θ = 10–90°, low angle first:
| 2theta | Rel. int. |
| --- | --- |
| 11.77 | 21 |
| 23.67 | 13 |
| 29.07 | 100 |
| 31.40 | 13 |
| 33.67 | 47 |
| 35.84 | 40 |
| 39.70 | 15 |
| 48.37 | 13 |
| 51.45 | 13 |
| 51.59 | 12 |
| 58.87 | 16 |
| 60.30 | 17 |

Atomic structure:
```
10
Lattice="-5.3150 5.3150 3.0790 5.3150 -5.3150 3.0790 5.3150 5.3150 -3.0790" Properties=species:S:1:pos:R:3 pbc="T T T"
Pr 0.0000 0.0000 0.0000
Pr 3.3163 3.3080 1.3995
Pr 2.0071 -1.9988 4.4785
Pr 3.3080 7.3138 1.3995
Pr 1.9988 2.0071 4.4785
Y 3.4496 -0.0043 1.5115
Y 7.1804 0.0043 1.5115
Y 0.0043 3.4496 1.5115
Y -0.0043 7.1804 1.5115
Er 0.0000 0.0000 2.8602
```


Structure and computed PXRD pattern of Pr3YEr4 (a structure optimized by DFT (PBE); CuKα).
Neutral-atom scattering factors, no anomalous dispersion.

Principal peaks in the range 2θ = 10–90°, low angle first:
| 2theta | Rel. int. |
| --- | --- |
| 28.12 | 23 |
| 28.33 | 12 |
| 31.15 | 36 |
| 32.23 | 100 |
| 32.41 | 48 |
| 42.46 | 15 |
| 50.03 | 19 |
| 56.11 | 21 |
| 56.23 | 10 |
| 59.77 | 11 |
| 60.11 | 22 |
| 60.54 | 16 |

Atomic structure:
```
16
Lattice="11.4863 0.0000 0.0000 0.0000 7.3458 0.0000 0.0000 0.0000 6.3009" Properties=species:S:1:pos:R:3 pbc="T T T"
Pr 0.0000 0.9526 0.0000
Pr 2.8651 6.4045 5.2790
Pr 2.8781 0.9413 2.1285
Pr 5.7431 6.3932 3.1504
Pr 8.6082 0.9413 2.1285
Pr 8.6212 6.4045 5.2790
Y 0.0000 6.3816 3.1339
Y 5.7431 0.9642 6.2843
Er 0.0000 2.7849 3.1512
Er 0.0000 4.5489 0.0067
Er 2.8511 4.5515 2.1043
Er 2.8920 2.7943 5.2547
Er 5.7431 2.7969 3.1571
Er 5.7431 4.5609 0.0008
Er 8.5942 2.7943 5.2547
Er 8.6351 4.5515 2.1043
```


Structure and computed PXRD pattern of Pr4Y10Er (a structure optimized by DFT (PBE); CuKα).
Neutral-atom scattering factors, no anomalous dispersion.

Principal peaks in the range 2θ = 10–90°, low angle first:
| 2theta | Rel. int. |
| --- | --- |
| 27.34 | 47 |
| 30.37 | 55 |
| 31.33 | 87 |
| 31.59 | 100 |
| 33.53 | 31 |
| 34.76 | 22 |
| 40.47 | 35 |
| 44.89 | 21 |
| 52.92 | 22 |
| 56.42 | 21 |
| 65.72 | 18 |
| 66.65 | 22 |

Atomic structure:
```
15
Lattice="-5.7109 5.7109 3.9740 5.7109 -5.7109 3.9740 5.7109 5.7109 -3.9740" Properties=species:S:1:pos:R:3 pbc="T T T"
Pr 2.6043 2.6043 0.0000
Pr 3.1066 -3.1066 3.9740
Pr -3.1066 3.1066 3.9740
Pr 3.1066 3.1066 3.9740
Y 5.7109 3.3215 -1.6619
Y 5.7109 0.0000 1.9870
Y 3.3215 5.7109 -1.6619
Y 2.3894 0.0000 2.3122
Y 0.0000 2.3894 2.3122
Y 5.7109 3.3215 1.6619
Y 3.3215 5.7109 1.6619
Y 2.3894 0.0000 5.6359
Y 0.0000 5.7109 1.9870
Y 0.0000 2.3894 5.6359
Er 0.0000 0.0000 0.0000
```


Structure and computed PXRD pattern of Pr2Y5Er6 (a structure optimized by DFT (PBE); CuKα).
Neutral-atom scattering factors, no anomalous dispersion.

Principal peaks in the range 2θ = 10–90°, low angle first:
| 2theta | Rel. int. |
| --- | --- |
| 27.47 | 35 |
| 29.21 | 23 |
| 30.94 | 63 |
| 31.50 | 37 |
| 31.84 | 93 |
| 32.14 | 100 |
| 34.26 | 41 |
| 35.16 | 23 |
| 36.56 | 28 |
| 50.92 | 21 |
| 52.43 | 21 |
| 61.33 | 33 |

Atomic structure:
```
26
Lattice="11.6806 0.0000 0.0000 0.0000 20.2743 0.0000 0.0000 0.0000 3.5867" Properties=species:S:1:pos:R:3 pbc="T T T"
Pr 1.9714 4.4215 0.0000
Pr 3.8689 14.5586 0.0000
Pr 7.8116 5.7157 0.0000
Pr 9.7092 15.8528 0.0000
Y 0.0000 10.1372 1.7933
Y 1.0681 15.8185 1.7933
Y 2.3292 1.0816 1.7933
Y 3.5110 11.2187 1.7933
Y 4.7722 5.6813 1.7933
Y 5.8403 0.0000 1.7933
Y 6.9083 14.5930 1.7933
Y 8.1695 9.0556 1.7933
Y 9.3513 19.1928 1.7933
Y 10.6125 4.4558 1.7933
Er 0.7208 18.7358 0.0000
Er 0.8962 12.8987 0.0000
Er 2.0938 7.5875 1.7933
Er 3.7465 17.7246 1.7933
Er 4.9441 2.7616 0.0000
Er 5.1194 8.5987 0.0000
Er 6.5611 11.6756 0.0000
Er 6.7365 17.5127 0.0000
Er 7.9341 2.5497 1.7933
Er 9.5868 12.6869 1.7933
Er 10.7844 7.3756 0.0000
Er 10.9597 1.5385 0.0000
```


Structure and computed PXRD pattern of Pr8Y2Er3 (a structure optimized by DFT (PBE); CuKα).
Neutral-atom scattering factors, no anomalous dispersion.

Principal peaks in the range 2θ = 10–90°, low angle first:
| 2theta | Rel. int. |
| --- | --- |
| 24.51 | 19 |
| 29.04 | 52 |
| 30.32 | 33 |
| 31.02 | 46 |
| 32.81 | 100 |
| 34.92 | 26 |
| 47.37 | 11 |
| 47.42 | 11 |
| 53.47 | 11 |
| 56.33 | 21 |
| 63.12 | 13 |
| 66.36 | 13 |

Atomic structure:
```
13
Lattice="10.2892 -3.8814 0.0000 10.2892 3.8814 0.0000 -0.0016 0.0000 5.7654" Properties=species:S:1:pos:R:3 pbc="T T T"
Pr 8.1312 2.3005 5.7638
Pr 3.5573 0.0000 2.8863
Pr 12.4456 2.3005 0.0016
Pr 7.6245 0.0000 2.8835
Pr 12.9523 0.0000 2.8819
Pr 8.1312 -2.3005 5.7638
Pr 17.0195 0.0000 2.8791
Pr 12.4456 -2.3005 0.0016
Y 5.3661 0.0000 0.0039
Y 15.2107 0.0000 5.7615
Er 10.2884 2.2151 2.8827
Er 10.2892 0.0000 0.0000
Er 10.2884 -2.2151 2.8827
```